Theoretical powder diffractogram of Cd5Bi2Pb5 for Cu Kα (λ = 1.5418 Å), from a cell relaxed with PBE.

Most intense lines, 2θ = 5–70°, by angle:
hkl	Position (°2θ)	d [Å]	I_rel
2 0 -3	28.86	3.093	11
5 1 -2	32.09	2.789	17
6 0 -2	32.56	2.750	20
3 1 1	32.73	2.736	100
0 2 0	33.43	2.681	29
6 2 -2	47.35	1.920	15
0 2 4	58.55	1.577	8
3 3 1	59.31	1.558	19

Structure:
```
data_Cd5Bi2Pb5
_space_group_name_H-M_alt 'C 1 2/m 1'
_space_group_IT_number 12
_space_group_name_Hall '-C 2y'
_cell_length_a 16.500
_cell_length_b 5.361
_cell_length_c 9.528
_cell_angle_alpha 90.00
_cell_angle_beta 125.07
_cell_angle_gamma 90.00
loop_
_atom_site_label
_atom_site_type_symbol
_atom_site_fract_x
_atom_site_fract_y
_atom_site_fract_z
Cd1 Cd 0.000 0.000 0.000
Cd2 Cd 0.070 0.000 0.769
Cd3 Cd 0.224 0.000 0.257
Bi1 Bi 0.162 0.000 0.555
Pb1 Pb 0.000 0.500 0.500
Pb2 Pb 0.083 0.500 0.241
Pb3 Pb 0.181 0.500 0.995
```